Record 1
Starting from a crystal structure in Alexandria, relaxed with GGA-PBE, the X-ray diffraction stick pattern of Pr2Sm4Y5 was simulated for a wavelength of 1.5418 Å.

Peak list (12 most intense, 2θ from 10° to 80°, by angle)
Position (°2θ)  I/Imax
23.58  43
28.92  74
29.40  43
29.74  63
30.20  59
31.11  49
31.77  44
31.94  30
32.32  100
38.30  33
38.67  27
56.95  44

Crystal structure
```
data_Pr2Sm4Y5
_cell_length_a 6.7793
_cell_length_b 6.7793
_cell_length_c 9.3134
_cell_angle_alpha 104.55
_cell_angle_beta 104.55
_cell_angle_gamma 67.63
_space_group_name_H-M_alt 'P 1'
_space_group_IT_number 1
loop_
_space_group_symop_operation_xyz
'x,y,z'
loop_
_atom_site_label
_atom_site_type_symbol
_atom_site_fract_x
_atom_site_fract_y
_atom_site_fract_z
Pr1 Pr 0.1455 0.1455 0.1276
Pr2 Pr 0.8545 0.8545 0.8724
Sm1 Sm 0.3197 0.3197 0.5023
Sm2 Sm 0.3230 0.3230 0.8725
Sm3 Sm 0.6770 0.6770 0.1275
Sm4 Sm 0.6803 0.6803 0.4977
Y1 Y 0.0000 0.0000 0.5000
Y2 Y 0.2151 0.6523 0.2197
Y3 Y 0.3477 0.7849 0.7803
Y4 Y 0.6523 0.2151 0.2197
Y5 Y 0.7849 0.3477 0.7803
```

=====

Record 2
Starting from a crystal structure in Alexandria, relaxed with GGA-PBE, the X-ray diffraction stick pattern of Zr2Be4CuPt3 was simulated for a wavelength of 1.5418 Å.

Peak list (12 most intense, 2θ from 10° to 80°, by angle)
Position (°2θ)  I/Imax
29.23  41
30.04  79
32.38  21
33.86  100
37.36  64
38.01  65
46.45  59
51.82  27
55.36  25
55.83  27
56.31  28
61.06  30

Crystal structure
```
data_Zr2Be4CuPt3
_cell_length_a 3.9100
_cell_length_b 3.9100
_cell_length_c 9.1648
_cell_angle_alpha 90.00
_cell_angle_beta 90.00
_cell_angle_gamma 90.00
_space_group_name_H-M_alt 'P 1'
_space_group_IT_number 1
loop_
_space_group_symop_operation_xyz
'x,y,z'
loop_
_atom_site_label
_atom_site_type_symbol
_atom_site_fract_x
_atom_site_fract_y
_atom_site_fract_z
Zr1 Zr 0.0000 0.5000 0.2481
Zr2 Zr 0.5000 0.0000 0.7519
Be1 Be 0.0000 0.0000 0.0000
Be2 Be 0.0000 0.5000 0.6289
Be3 Be 0.5000 0.0000 0.3711
Be4 Be 0.5000 0.5000 0.0000
Cu1 Cu 0.0000 0.0000 0.5000
Pt1 Pt 0.0000 0.5000 0.8714
Pt2 Pt 0.5000 0.0000 0.1286
Pt3 Pt 0.5000 0.5000 0.5000
```

=====

Record 3
Starting from a crystal structure in Alexandria, relaxed with GGA-PBE, the X-ray diffraction stick pattern of TbPrSm6Ho2 was simulated for a wavelength of 1.5418 Å.

Peak list (12 most intense, 2θ from 10° to 80°, by angle)
Position (°2θ)  I/Imax
27.63  16
28.29  41
30.13  56
30.26  45
30.61  13
30.99  39
31.16  100
31.99  28
33.38  40
33.98  15
36.71  14
52.68  22

Crystal structure
```
data_TbPrSm6Ho2
_cell_length_a 8.8907
_cell_length_b 8.8907
_cell_length_c 9.7101
_cell_angle_alpha 94.12
_cell_angle_beta 94.12
_cell_angle_gamma 117.56
_space_group_name_H-M_alt 'P 1'
_space_group_IT_number 1
loop_
_space_group_symop_operation_xyz
'x,y,z'
loop_
_atom_site_label
_atom_site_type_symbol
_atom_site_fract_x
_atom_site_fract_y
_atom_site_fract_z
Tb1 Tb 0.0278 0.9722 0.7500
Tb2 Tb 0.9722 0.0278 0.2500
Pr1 Pr 0.4062 0.5938 0.2500
Pr2 Pr 0.5938 0.4062 0.7500
Sm1 Sm 0.0203 0.5683 0.6826
Sm2 Sm 0.1140 0.7563 0.0554
Sm3 Sm 0.2437 0.8860 0.4446
Sm4 Sm 0.2939 0.5081 0.8793
Sm5 Sm 0.4317 0.9797 0.8174
Sm6 Sm 0.4919 0.7061 0.6207
Sm7 Sm 0.5081 0.2939 0.3793
Sm8 Sm 0.5683 0.0203 0.1826
Sm9 Sm 0.7061 0.4919 0.1207
Sm10 Sm 0.7563 0.1140 0.5554
Sm11 Sm 0.8860 0.2437 0.9446
Sm12 Sm 0.9797 0.4317 0.3174
Ho1 Ho 0.1951 0.2939 0.5454
Ho2 Ho 0.2939 0.1951 0.0454
Ho3 Ho 0.7061 0.8049 0.9546
Ho4 Ho 0.8049 0.7061 0.4546
```

=====

Record 4
Starting from a crystal structure in Alexandria, relaxed with GGA-PBE, the X-ray diffraction stick pattern of Cs5YO4 was simulated for a wavelength of 1.5418 Å.

Peak list (12 most intense, 2θ from 10° to 80°, by angle)
Position (°2θ)  I/Imax
23.53  17
24.99  60
25.91  28
26.61  56
26.74  28
27.37  52
29.05  34
29.33  100
29.70  20
33.78  29
46.55  17
56.53  18

Crystal structure
```
data_Cs5YO4
_cell_length_a 11.7614
_cell_length_b 13.5822
_cell_length_c 7.5719
_cell_angle_alpha 90.00
_cell_angle_beta 101.04
_cell_angle_gamma 90.00
_space_group_name_H-M_alt 'P 1'
_space_group_IT_number 1
loop_
_space_group_symop_operation_xyz
'x,y,z'
loop_
_atom_site_label
_atom_site_type_symbol
_atom_site_fract_x
_atom_site_fract_y
_atom_site_fract_z
Cs1 Cs 0.0043 0.0735 0.2444
Cs2 Cs 0.0043 0.4265 0.7444
Cs3 Cs 0.1510 0.1755 0.8465
Cs4 Cs 0.1510 0.3245 0.3465
Cs5 Cs 0.2163 0.6946 0.0040
Cs6 Cs 0.2163 0.8054 0.5040
Cs7 Cs 0.3729 0.0670 0.5751
Cs8 Cs 0.3729 0.4330 0.0751
Cs9 Cs 0.4919 0.6651 0.4002
Cs10 Cs 0.4919 0.8349 0.9002
Cs11 Cs 0.5081 0.1651 0.0998
Cs12 Cs 0.5081 0.3349 0.5998
Cs13 Cs 0.6271 0.5670 0.9249
Cs14 Cs 0.6271 0.9330 0.4249
Cs15 Cs 0.7837 0.1946 0.4960
Cs16 Cs 0.7837 0.3054 0.9960
Cs17 Cs 0.8490 0.6755 0.6535
Cs18 Cs 0.8490 0.8245 0.1535
Cs19 Cs 0.9957 0.5735 0.2556
Cs20 Cs 0.9957 0.9265 0.7556
Y1 Y 0.2600 0.5433 0.6089
Y2 Y 0.2600 0.9567 0.1089
Y3 Y 0.7400 0.0433 0.8911
Y4 Y 0.7400 0.4567 0.3911
O1 O 0.0954 0.6100 0.6378
O2 O 0.0954 0.8900 0.1378
O3 O 0.2567 0.1113 0.1924
O4 O 0.2567 0.3887 0.6924
O5 O 0.2640 0.5441 0.3246
O6 O 0.2640 0.9559 0.8246
O7 O 0.3982 0.6326 0.7610
O8 O 0.3982 0.8674 0.2610
O9 O 0.6018 0.1326 0.7390
O10 O 0.6018 0.3674 0.2390
O11 O 0.7360 0.0441 0.1754
O12 O 0.7360 0.4559 0.6754
O13 O 0.7433 0.6113 0.3076
O14 O 0.7433 0.8887 0.8076
O15 O 0.9046 0.1100 0.8622
O16 O 0.9046 0.3900 0.3622
```

=====

Record 5
Starting from a crystal structure in Alexandria, relaxed with GGA-PBE, the X-ray diffraction stick pattern of Pr8Ga3IrI4 was simulated for a wavelength of 1.5418 Å.

Peak list (12 most intense, 2θ from 10° to 80°, by angle)
Position (°2θ)  I/Imax
12.25  5
28.01  100
30.30  8
35.76  5
38.83  32
41.19  38
50.45  6
50.59  13
57.89  10
63.81  6
67.12  11
73.55  6

Crystal structure
```
data_Pr8Ga3IrI4
_cell_length_a 8.7736
_cell_length_b 8.7736
_cell_length_c 9.3189
_cell_angle_alpha 118.20
_cell_angle_beta 118.20
_cell_angle_gamma 59.85
_space_group_name_H-M_alt 'P 1'
_space_group_IT_number 1
loop_
_space_group_symop_operation_xyz
'x,y,z'
loop_
_atom_site_label
_atom_site_type_symbol
_atom_site_fract_x
_atom_site_fract_y
_atom_site_fract_z
Pr1 Pr 0.2255 0.7470 0.6978
Pr2 Pr 0.2263 0.2263 0.6990
Pr3 Pr 0.2530 0.7745 0.3022
Pr4 Pr 0.2611 0.2611 0.2832
Pr5 Pr 0.7389 0.7389 0.7168
Pr6 Pr 0.7470 0.2255 0.6978
Pr7 Pr 0.7737 0.7737 0.3010
Pr8 Pr 0.7745 0.2530 0.3022
Ga1 Ga 0.0000 0.5000 0.5000
Ga2 Ga 0.5000 0.0000 0.5000
Ga3 Ga 0.5000 0.5000 0.5000
Ir1 Ir 0.0000 0.0000 0.5000
I1 I 0.0000 0.0000 0.0000
I2 I 0.0000 0.5000 0.0000
I3 I 0.5000 0.0000 0.0000
I4 I 0.5000 0.5000 0.0000
```

=====

Record 6
Starting from a crystal structure in Alexandria, relaxed with GGA-PBE, the X-ray diffraction stick pattern of TaCdSb2 was simulated for a wavelength of 1.5418 Å.

Peak list (12 most intense, 2θ from 10° to 80°, by angle)
Position (°2θ)  I/Imax
32.42  100
33.18  46
40.32  55
41.83  50
50.85  14
53.14  24
62.08  15
65.23  13
65.43  13
67.89  23
69.23  11
70.43  10

Crystal structure
```
data_TaCdSb2
_cell_length_a 4.7123
_cell_length_b 3.5911
_cell_length_c 5.8891
_cell_angle_alpha 90.00
_cell_angle_beta 113.51
_cell_angle_gamma 90.00
_space_group_name_H-M_alt 'P 1'
_space_group_IT_number 1
loop_
_space_group_symop_operation_xyz
'x,y,z'
loop_
_atom_site_label
_atom_site_type_symbol
_atom_site_fract_x
_atom_site_fract_y
_atom_site_fract_z
Ta1 Ta 0.0000 0.0000 0.0000
Cd1 Cd 0.5000 0.5000 0.5000
Sb1 Sb 0.0000 0.0000 0.5000
Sb2 Sb 0.5000 0.5000 0.0000
```

=====

Please write out number 1 again, unchanged.
Starting from a crystal structure in Alexandria, relaxed with GGA-PBE, the X-ray diffraction stick pattern of Pr2Sm4Y5 was simulated for a wavelength of 1.5418 Å.

Peak list (12 most intense, 2θ from 10° to 80°, by angle)
Position (°2θ)  I/Imax
23.58  43
28.92  74
29.40  43
29.74  63
30.20  59
31.11  49
31.77  44
31.94  30
32.32  100
38.30  33
38.67  27
56.95  44

Crystal structure
```
data_Pr2Sm4Y5
_cell_length_a 6.7793
_cell_length_b 6.7793
_cell_length_c 9.3134
_cell_angle_alpha 104.55
_cell_angle_beta 104.55
_cell_angle_gamma 67.63
_space_group_name_H-M_alt 'P 1'
_space_group_IT_number 1
loop_
_space_group_symop_operation_xyz
'x,y,z'
loop_
_atom_site_label
_atom_site_type_symbol
_atom_site_fract_x
_atom_site_fract_y
_atom_site_fract_z
Pr1 Pr 0.1455 0.1455 0.1276
Pr2 Pr 0.8545 0.8545 0.8724
Sm1 Sm 0.3197 0.3197 0.5023
Sm2 Sm 0.3230 0.3230 0.8725
Sm3 Sm 0.6770 0.6770 0.1275
Sm4 Sm 0.6803 0.6803 0.4977
Y1 Y 0.0000 0.0000 0.5000
Y2 Y 0.2151 0.6523 0.2197
Y3 Y 0.3477 0.7849 0.7803
Y4 Y 0.6523 0.2151 0.2197
Y5 Y 0.7849 0.3477 0.7803
```

=====

Q: What is the formula in the fifth record?
A: Pr8Ga3IrI4